The following is a calculated powder XRD pattern of Pm5YSc2. It was derived from the GGA-PBE geometry in Alexandria, using Cu Kα X-rays.
Neutral-atom scattering factors, no anomalous dispersion.

Structural model:
Cell lengths 9.075, 9.075, 12.417 Å; angles 90.00, 90.00, 90.00 degrees
Space group I4/mcm (No. 140)
Asymmetric unit:
Pm: 0.000 0.000 0.000 (multiplicity 4)
Pm: 0.148 0.352 0.159 (multiplicity 16)
Y: 0.000 0.000 0.250 (multiplicity 4)
Sc: 0.150 0.350 0.500 (multiplicity 8)

Principal peaks in the range 5 to 70 degrees two-theta, most intense first:
hkl 2 1 3, 2.898 Å, 2θ = 30.86°, intensity 100
hkl 3 1 0, 2.870 Å, 2θ = 31.17°, intensity 70
hkl 5 2 3, 1.561 Å, 2θ = 59.20°, intensity 24
hkl 2 1 1, 3.858 Å, 2θ = 23.06°, intensity 23
hkl 1 1 4, 2.794 Å, 2θ = 32.03°, intensity 20
hkl 2 0 4, 2.562 Å, 2θ = 35.02°, intensity 14
hkl 3 1 6, 1.679 Å, 2θ = 54.68°, intensity 13
hkl 4 0 4, 1.832 Å, 2θ = 49.78°, intensity 12
hkl 3 3 4, 1.761 Å, 2θ = 51.91°, intensity 11
hkl 4 2 0, 2.029 Å, 2θ = 44.66°, intensity 11